Entry 1:
Diffraction record for SrCaPrSbO6. The X-ray diffraction stick pattern is theoretical, not measured: it uses the PBE geometry in the Materials Project and Cu Kα, 1.54184 Å.
No peak broadening, texture or thermal motion is included.

Top 10 peaks for 15° ≤ 2θ ≤ 90°, most intense first:
- 29.77 deg, rel. 1000, hkl 1 1 2
- 30.17 deg, rel. 614, hkl 2 0 0
- 53.34 deg, rel. 479, hkl 3 1 2
- 43.20 deg, rel. 289, hkl 2 2 0
- 52.57 deg, rel. 248, hkl 2 0 4
- 21.21 deg, rel. 227, hkl 1 1 0
- 41.99 deg, rel. 189, hkl 0 0 4
- 61.82 deg, rel. 186, hkl 2 2 4
- 20.64 deg, rel. 145, hkl 0 0 2
- 86.23 deg, rel. 145, hkl 4 2 4

Structural model:
```
data_SrCaPrSbO6
_chemical_formula_sum 'Sr2 Ca2 Pr2 Sb2 O12'
_space_group_name_H-M_alt 'P 4 21 2'
_space_group_IT_number 90
_cell_length_a 5.9235
_cell_length_b 5.9235
_cell_length_c 8.6066
_cell_angle_alpha 90.00
_cell_angle_beta 90.00
_cell_angle_gamma 90.00
loop_
_space_group_symop_operation_xyz
'x,y,z'
'-y+1/2,x+1/2,z'
'-x,-y,z'
'y+1/2,-x+1/2,z'
'x+1/2,-y+1/2,-z'
'-y,-x,-z'
'-x+1/2,y+1/2,-z'
'y,x,-z'
loop_
_atom_site_label
_atom_site_type_symbol
_atom_site_fract_x
_atom_site_fract_y
_atom_site_fract_z
Sr1 Sr 0.0000 0.0000 0.0000
Ca1 Ca 0.0000 0.0000 0.5000
Pr1 Pr 0.0000 0.5000 0.2524
Sb1 Sb 0.0000 0.5000 0.7452
O1 O 0.0000 0.5000 0.5148
O2 O 0.0000 0.5000 0.9804
O3 O 0.1516 0.1952 0.7427
```

***

Entry 2:
Diffraction record for LiDy2Nb2O8. The X-ray diffraction stick pattern is theoretical, not measured: it uses the PBE geometry in the Materials Project and Cu Kα, 1.54184 Å.
No peak broadening, texture or thermal motion is included.

Top 10 peaks for 15° ≤ 2θ ≤ 90°, most intense first:
- 23.25 deg, rel. 1000, hkl 1 -1 1
- 25.66 deg, rel. 903, hkl 1 1 -1
- 31.68 deg, rel. 388, hkl 1 -2 0
- 29.79 deg, rel. 387, hkl 0 1 1
- 32.86 deg, rel. 338, hkl -2 1 1
- 31.18 deg, rel. 336, hkl 1 0 -2
- 35.04 deg, rel. 235, hkl 0 2 -2
- 16.59 deg, rel. 225, hkl 0 0 1
- 34.76 deg, rel. 181, hkl 2 0 0
- 46.92 deg, rel. 171, hkl 1 2 0

Structural model:
```
data_LiDy2Nb2O8
_chemical_formula_sum 'Li1 Dy2 Nb2 O8'
_space_group_name_H-M_alt 'P 1'
_space_group_IT_number 1
_cell_length_a 5.9376
_cell_length_b 6.1148
_cell_length_c 6.2700
_cell_angle_alpha 112.46
_cell_angle_beta 102.05
_cell_angle_gamma 109.53
loop_
_space_group_symop_operation_xyz
'x,y,z'
loop_
_atom_site_label
_atom_site_type_symbol
_atom_site_fract_x
_atom_site_fract_y
_atom_site_fract_z
Li1 Li 0.0000 0.0000 0.0000
Dy1 Dy 0.0827 0.9773 0.4686
Dy2 Dy 0.4926 0.6451 0.5611
Nb1 Nb 0.0168 0.4544 0.9007
Nb2 Nb 0.5870 0.1977 0.1280
O1 O 0.2172 0.6561 0.2505
O2 O 0.2462 0.4330 0.7243
O3 O 0.3284 0.1856 0.2809
O4 O 0.3696 0.9770 0.7782
O5 O 0.7321 0.5827 0.3176
O6 O 0.8063 0.0660 0.2197
O7 O 0.8234 0.6122 0.8144
O8 O 0.8636 0.0589 0.7340
```

***

Entry 3:
Diffraction record for SiB3. The X-ray diffraction stick pattern is theoretical, not measured: it uses the PBE geometry in the Materials Project and Cu Kα, 1.54184 Å.
No peak broadening, texture or thermal motion is included.

Top 10 peaks for 15° ≤ 2θ ≤ 90°, most intense first:
- 35.69 deg, rel. 1000, hkl 2 4 0
- 35.22 deg, rel. 682, hkl 3 0 1
- 32.09 deg, rel. 620, hkl 0 2 2
- 22.73 deg, rel. 425, hkl 1 2 1
- 28.69 deg, rel. 413, hkl 0 0 2
- 57.36 deg, rel. 389, hkl 2 6 2
- 25.56 deg, rel. 296, hkl 2 2 0
- 46.41 deg, rel. 290, hkl 2 4 2
- 15.89 deg, rel. 243, hkl 0 1 1
- 64.78 deg, rel. 222, hkl 5 4 1

Structural model:
```
data_SiB3
_chemical_formula_sum 'Si16 B48'
_space_group_name_H-M_alt 'I m m a'
_space_group_IT_number 74
_space_group_name_Hall '-I 2b 2'
_cell_length_a 8.3801
_cell_length_b 12.5844
_cell_length_c 6.2232
_cell_angle_alpha 90.00
_cell_angle_beta 90.00
_cell_angle_gamma 90.00
loop_
_atom_site_label
_atom_site_type_symbol
_atom_site_fract_x
_atom_site_fract_y
_atom_site_fract_z
Si1 Si 0.0000 0.1545 0.0022
Si2 Si 0.2307 0.2500 0.5639
B1 B 0.0000 0.0691 0.7283
B2 B 0.0000 0.0742 0.2765
B3 B 0.1106 0.1124 0.5027
B4 B 0.1750 0.0016 0.3449
```